For UTlZn2O8, a crystal structure in Alexandria, relaxed with GGA-PBE gives the calculated powder X-ray diffraction pattern in this record (Cu Kα X-rays).
Peak positions follow from Bragg's law for the DFT cell and can differ from measured ones.

Peak list (10 most intense, 15° ≤ 2θ ≤ 90°, by angle)
hkl  2θ/deg  d_spacing  I_rel
1 0 1  18.01  4.925  58
2 0 0  26.42  3.373  94
1 1 2  31.10  2.875  100
2 1 1  32.16  2.783  16
2 2 0  37.71  2.385  24
3 1 2  49.66  1.836  69
4 0 0  54.39  1.687  15
2 0 4  58.04  1.589  20
3 3 2  64.00  1.455  19
5 1 2  76.73  1.242  15

Structural model:
```
data_UTlZn2O8
_chemical_formula_sum 'U2 Tl2 Zn4 O16'
_cell_length_a 6.747
_cell_length_b 6.747
_cell_length_c 7.207
_cell_angle_alpha 90.00
_cell_angle_beta 90.00
_cell_angle_gamma 90.00
_space_group_name_H-M_alt 'I -4 m 2'
_space_group_IT_number 119
_space_group_name_Hall 'I -4 -2'
loop_
_atom_site_label
_atom_site_fract_x
_atom_site_fract_y
_atom_site_fract_z
U1 0.000 0.000 0.000
Tl1 0.000 0.500 0.750
Zn1 0.000 0.000 0.500
Zn2 0.000 0.500 0.250
O1 0.000 0.178 0.710
O2 0.000 0.295 0.060
```